1.
Computed X-ray powder pattern of Li9Fe5O12 for Cu Kα, from a DFT-relaxed cell (PBE+U, the Materials Project).
Kinematic intensities with the Lorentz-polarization factor, no thermal factor.

Main lines, sorted by position (2θ from 10° to 90°):
hkl 0 0 2, 2θ = 17.5°, d = 5.064 Å, rel. 100.0
hkl 1 2 1, 2θ = 34.8°, d = 2.579 Å, rel. 19.9
hkl 1 2 -1, 2θ = 35.2°, d = 2.549 Å, rel. 19.4
hkl 1 2 -2, 2θ = 38.7°, d = 2.325 Å, rel. 13.0
hkl 2 1 -2, 2θ = 39.8°, d = 2.266 Å, rel. 13.2
hkl 1 2 3, 2θ = 42.9°, d = 2.108 Å, rel. 29.3
hkl 1 2 -3, 2θ = 43.9°, d = 2.061 Å, rel. 28.4
hkl 1 2 5, 2θ = 56.5°, d = 1.628 Å, rel. 12.5
hkl 1 2 -5, 2θ = 58.0°, d = 1.591 Å, rel. 12.6
hkl 3 3 1, 2θ = 61.8°, d = 1.501 Å, rel. 13.4

Cell and atoms:
```
Li9Fe5O12
1.0
5.1941 0.0000 0.0000
2.5967 4.6236 0.0000
0.4701 0.0037 10.1271
Li Fe O
9 5 12
direct
0.0000 0.0000 0.0000 Li
0.0190 0.5207 0.4876 Li
0.2056 0.0000 0.7316 Li
0.3931 0.4782 0.9747 Li
0.4127 0.9995 0.4621 Li
0.4795 0.9985 0.9272 Li
0.5412 0.4780 0.4877 Li
0.8731 0.5207 0.9747 Li
0.9349 0.9987 0.5353 Li
0.0416 0.3299 0.2312 Fe
0.3715 0.6690 0.2311 Fe
0.5404 0.3310 0.7311 Fe
0.7069 0.9990 0.2312 Fe
0.8722 0.6672 0.7311 Fe
0.0376 0.9982 0.3391 O
0.0502 0.6687 0.1223 O
0.1975 0.3509 0.8498 O
0.2149 0.6466 0.6125 O
0.3641 0.3306 0.3397 O
0.3770 0.9983 0.1233 O
0.5508 0.6468 0.8499 O
0.5879 0.9983 0.6150 O
0.6941 0.6684 0.3399 O
0.7180 0.3307 0.1225 O
0.8265 0.9980 0.8471 O
0.8637 0.3513 0.6126 O
```

=====

2.
Computed X-ray powder pattern of Li2Fe3O10 for Cu Kα, from a DFT-relaxed cell (PBE+U, the Materials Project).
Kinematic intensities with the Lorentz-polarization factor, no thermal factor.

Main lines, sorted by position (2θ from 10° to 90°):
hkl 0 0 1, 2θ = 12.0°, d = 7.361 Å, rel. 100.0
hkl 1 0 -1, 2θ = 19.7°, d = 4.506 Å, rel. 19.5
hkl 0 0 2, 2θ = 24.2°, d = 3.675 Å, rel. 14.0
hkl 1 0 -2, 2θ = 26.3°, d = 3.385 Å, rel. 33.6
hkl 1 1 -1, 2θ = 29.4°, d = 3.039 Å, rel. 13.0
hkl 1 1 0, 2θ = 30.9°, d = 2.890 Å, rel. 9.9
hkl -2 1 1, 2θ = 37.8°, d = 2.379 Å, rel. 8.6
hkl -1 2 1, 2θ = 39.5°, d = 2.279 Å, rel. 12.6
hkl 1 -1 3, 2θ = 44.9°, d = 2.017 Å, rel. 15.8
hkl 2 1 -2, 2θ = 47.4°, d = 1.919 Å, rel. 10.4

Cell and atoms:
```
Li2Fe3O10
1.0
4.9260 0.0000 0.0000
-1.3042 4.9075 0.0000
-1.9020 -1.6397 7.3609
Li Fe O
2 3 10
direct
0.1773 0.2423 0.0955 Li
0.8227 0.7577 0.9045 Li
0.1775 0.8789 0.3808 Fe
0.5000 0.5000 0.5000 Fe
0.8225 0.1211 0.6192 Fe
0.0020 0.1001 0.8343 O
0.1636 0.2380 0.5186 O
0.2591 0.5495 0.2919 O
0.4405 0.8727 0.9767 O
0.4437 0.8359 0.6083 O
0.5563 0.1641 0.3917 O
0.5595 0.1273 0.0233 O
0.7409 0.4505 0.7081 O
0.8364 0.7620 0.4814 O
0.9980 0.8999 0.1657 O
```

=====

Q: Which formula does entry 1 have?
A: Li9Fe5O12

=====

Q: Which formula does entry 1 have?
A: Li9Fe5O12